This entry pairs a crystal structure of Zr5Os4Pd with its calculated XRD peak list. Radiation: Cu Kα, 1.54184 Å. Structure: the GGA-PBE geometry in Alexandria.
Peak positions follow from Bragg's law for the DFT cell and can differ from measured ones.

Top 10 peaks for 5 to 70 degrees two-theta, sorted by position:
hkl, 2θ/deg, d/Å, I/Imax
0 0 1, 5.16, 17.118, 14
0 0 5, 26.03, 3.424, 6
1 0 0, 27.49, 3.245, 10
1 0 5, 38.22, 2.355, 100
1 1 0, 39.27, 2.294, 48
1 0 6, 42.18, 2.143, 3
1 1 5, 47.72, 1.906, 5
0 0 10, 53.53, 1.712, 9
2 0 0, 56.74, 1.622, 16
1 1 10, 68.37, 1.372, 17

Structural model:
Unit cell a=3.245 b=3.245 c=17.118 alpha=90.00 beta=90.00 gamma=90.00
Space group P4/mmm (No. 123)
Symmetry-distinct sites (fractional):
Zr: 0.000 0.000 0.000 [1 per cell]
Zr: 0.000 0.000 0.195 [2 per cell]
Zr: 0.000 0.000 0.391 [2 per cell]
Os: 0.500 0.500 0.098 [2 per cell]
Os: 0.500 0.500 0.294 [2 per cell]
Pd: 0.500 0.500 0.500 [1 per cell]

This entry pairs a crystal structure of Dy4Co2Pd with its calculated XRD peak list. Radiation: Cu Kα, 1.54184 Å. Structure: the GGA-PBE geometry in Alexandria.
Peak positions follow from Bragg's law for the DFT cell and can differ from measured ones.

Top 10 peaks for 5 to 70 degrees two-theta, sorted by position:
hkl, 2θ/deg, d/Å, I/Imax
2 2 0, 29.83, 2.995, 31
1 3 0, 33.17, 2.701, 100
3 0 1, 33.70, 2.660, 52
1 2 3, 39.49, 2.282, 36
2 3 1, 39.65, 2.273, 32
3 1 2, 39.92, 2.258, 14
2 4 2, 52.60, 1.740, 12
1 4 3, 54.78, 1.676, 21
3 1 4, 55.12, 1.666, 14
4 3 1, 55.42, 1.658, 17

Structural model:
Unit cell a=8.396 b=8.549 c=8.551 alpha=90.00 beta=90.00 gamma=90.00
Space group I2_12_12_1 (No. 24)
Symmetry-distinct sites (fractional):
Dy: 0.052 0.060 0.066 [8 per cell]
Dy: 0.197 0.316 0.689 [8 per cell]
Co: 0.000 0.250 0.372 [4 per cell]
Co: 0.250 0.375 0.000 [4 per cell]
Pd: 0.126 0.000 0.750 [4 per cell]

This entry pairs a crystal structure of LiTiCoH2 with its calculated XRD peak list. Radiation: Cu Kα, 1.54184 Å. Structure: the GGA-PBE geometry in Alexandria.
Peak positions follow from Bragg's law for the DFT cell and can differ from measured ones.

Top 10 peaks for 5 to 70 degrees two-theta, sorted by position:
hkl, 2θ/deg, d/Å, I/Imax
0 0 1, 20.06, 4.427, 100
1 0 0, 26.68, 3.342, 4
1 1 0, 38.08, 2.363, 45
0 0 2, 40.76, 2.214, 20
1 1 1, 43.41, 2.085, 55
1 0 2, 49.38, 1.845, 1
2 0 0, 54.96, 1.671, 15
1 1 2, 57.01, 1.615, 26
2 0 1, 59.10, 1.563, 19
0 0 3, 62.98, 1.476, 4

Structural model:
Unit cell a=3.342 b=3.342 c=4.427 alpha=90.00 beta=90.00 gamma=90.00
Space group P4/mmm (No. 123)
Symmetry-distinct sites (fractional):
Li: 0.000 0.000 0.000 [1 per cell]
Ti: 0.500 0.500 0.500 [1 per cell]
Co: 0.000 0.000 0.500 [1 per cell]
H: 0.000 0.500 0.000 [2 per cell]

This entry pairs a crystal structure of CrGeI4 with its calculated XRD peak list. Radiation: Cu Kα, 1.54184 Å. Structure: the GGA-PBE geometry in Alexandria.
Peak positions follow from Bragg's law for the DFT cell and can differ from measured ones.

Top 10 peaks for 5 to 70 degrees two-theta, sorted by position:
hkl, 2θ/deg, d/Å, I/Imax
2 0 0, 12.04, 7.352, 55
4 0 0, 24.21, 3.676, 31
0 0 2, 26.84, 3.322, 22
1 1 1, 27.10, 3.291, 100
3 1 -1, 27.50, 3.243, 40
4 0 -2, 27.64, 3.227, 52
3 1 1, 34.32, 2.613, 52
3 1 -3, 42.88, 2.109, 41
0 2 0, 43.00, 2.104, 22
7 1 -1, 44.94, 2.017, 37

Structural model:
Unit cell a=16.193 b=4.207 c=7.316 alpha=90.00 beta=114.76 gamma=90.00
Space group C2/m (No. 12)
Symmetry-distinct sites (fractional):
Cr: 0.000 0.000 0.000 [2 per cell]
Ge: 0.000 0.500 0.500 [2 per cell]
I: 0.112 0.500 0.260 [4 per cell]
I: 0.115 0.000 0.790 [4 per cell]

This entry pairs a crystal structure of SrNpAgO6 with its calculated XRD peak list. Radiation: Cu Kα, 1.54184 Å. Structure: the GGA-PBE geometry in Alexandria.
Peak positions follow from Bragg's law for the DFT cell and can differ from measured ones.

Top 10 peaks for 5 to 70 degrees two-theta, sorted by position:
hkl, 2θ/deg, d/Å, I/Imax
0 0 2, 16.27, 5.447, 49
1 0 1, 20.14, 4.409, 27
1 0 2, 24.66, 3.610, 100
1 1 0, 32.16, 2.784, 54
0 0 4, 32.88, 2.724, 13
1 1 2, 36.24, 2.479, 35
2 0 2, 40.94, 2.204, 25
1 1 4, 46.66, 1.947, 58
2 1 2, 52.99, 1.728, 24
3 0 0, 57.33, 1.607, 18

Structural model:
Unit cell a=5.5672 b=5.5672 c=10.8947 alpha=90.00 beta=90.00 gamma=120.00
Space group P-31c (No. 163)
Symmetry-distinct sites (fractional):
Sr: 0.0000 0.0000 0.0000 [2 per cell]
Np: 0.3333 0.6667 0.2500 [2 per cell]
Ag: 0.3333 0.6667 0.7500 [2 per cell]
O: 0.0292 0.3757 0.1435 [12 per cell]

This entry pairs a crystal structure of PmYErHg with its calculated XRD peak list. Radiation: Cu Kα, 1.54184 Å. Structure: the GGA-PBE geometry in Alexandria.
Peak positions follow from Bragg's law for the DFT cell and can differ from measured ones.

Top 10 peaks for 5 to 70 degrees two-theta, sorted by position:
hkl, 2θ/deg, d/Å, I/Imax
0 0 1, 9.91, 8.925, 18
1 0 2, 31.82, 2.813, 100
1 1 0, 35.03, 2.562, 42
1 0 3, 39.18, 2.299, 8
0 0 4, 40.42, 2.231, 11
2 0 0, 50.38, 1.811, 15
1 1 4, 54.54, 1.683, 18
2 1 2, 60.83, 1.523, 32
2 0 4, 66.49, 1.406, 10
1 0 6, 68.14, 1.376, 6

Structural model:
Unit cell a=3.623 b=3.623 c=8.925 alpha=90.00 beta=90.00 gamma=90.00
Space group P4mm (No. 99)
Symmetry-distinct sites (fractional):
Pm: 0.000 0.000 0.000 [1 per cell]
Y: 0.500 0.500 0.714 [1 per cell]
Er: 0.500 0.500 0.280 [1 per cell]
Hg: 0.000 0.000 0.492 [1 per cell]